1.
The following is a simulated X-ray powder pattern of LiAc4Pd. It was derived from a cell relaxed with GGA-PBE, using Cu Kα, 1.54184 Å.

The 10 most intense peaks (2θ from 10° to 90°), sorted by position:
two_theta  I_rel
25.25  100.0
28.25  28.4
33.61  18.1
35.96  11.4
36.08  11.4
42.47  27.4
44.49  19.3
46.43  15.2
53.50  13.3
66.21  12.6

Structure:
```
data_LiAc4Pd
_symmetry_space_group_name_H-M 'I 41 m d'
_symmetry_Int_Tables_number 109
_symmetry_space_group_name_Hall 'I 4bw -2'
_cell_length_a 9.9889
_cell_length_b 9.9889
_cell_length_c 9.9574
_cell_angle_alpha 90.00
_cell_angle_beta 90.00
_cell_angle_gamma 90.00
loop_
_atom_site_label
_atom_site_fract_x
_atom_site_fract_y
_atom_site_fract_z
Li1 0.0000 0.0000 0.0000
Ac1 0.0000 0.1928 0.2656
Ac2 0.0000 0.1996 0.7329
Pd1 0.0000 0.0000 0.5002
```

***

2.
The following is a simulated X-ray powder pattern of Hf5Si4. It was derived from a cell relaxed with GGA-PBE, using Cu Kα, 1.54184 Å.

The 10 most intense peaks (2θ from 10° to 90°), sorted by position:
two_theta  I_rel
27.39  40.5
28.82  44.6
29.09  33.1
33.10  41.5
35.26  75.8
36.64  100.0
39.36  72.9
40.79  72.2
59.74  41.3
62.81  35.1

Structure:
```
data_Hf5Si4
_symmetry_space_group_name_H-M 'P 41 21 2'
_symmetry_Int_Tables_number 92
_symmetry_space_group_name_Hall 'P 4abw 2nw'
_cell_length_a 7.0672
_cell_length_b 7.0672
_cell_length_c 12.8773
_cell_angle_alpha 90.00
_cell_angle_beta 90.00
_cell_angle_gamma 90.00
loop_
_atom_site_label
_atom_site_fract_x
_atom_site_fract_y
_atom_site_fract_z
Hf1 0.0006 0.1469 0.1263
Hf2 0.0022 0.3468 0.5330
Hf3 0.1743 0.8257 0.2500
Si1 0.0471 0.6973 0.4363
Si2 0.1463 0.2040 0.3230
```

***

3.
The following is a simulated X-ray powder pattern of Sr3Li2Ag7. It was derived from a cell relaxed with GGA-PBE, using Cu Kα, 1.54184 Å.

The 10 most intense peaks (2θ from 10° to 90°), sorted by position:
two_theta  I_rel
19.67  35.9
28.83  41.4
31.59  74.5
34.87  89.2
35.36  52.3
36.08  100.0
38.60  56.6
57.23  27.5
59.71  30.2
62.21  38.5

Structure:
```
data_Sr3Li2Ag7
_symmetry_space_group_name_H-M 'R -3 m'
_symmetry_Int_Tables_number 166
_symmetry_space_group_name_Hall '-R 3 2"'
_cell_length_a 5.9689
_cell_length_b 5.9689
_cell_length_c 27.0788
_cell_angle_alpha 90.00
_cell_angle_beta 90.00
_cell_angle_gamma 120.00
loop_
_atom_site_label
_atom_site_fract_x
_atom_site_fract_y
_atom_site_fract_z
Sr1 0.0000 0.0000 0.0000
Sr2 0.0000 0.0000 0.1404
Li1 0.0000 0.0000 0.3320
Ag1 0.0000 0.0000 0.5000
Ag2 0.0010 0.5005 0.9206
```

***

4.
The following is a simulated X-ray powder pattern of Zr2ScHg. It was derived from a cell relaxed with GGA-PBE, using Cu Kα, 1.54184 Å.

The 10 most intense peaks (2θ from 10° to 90°), sorted by position:
two_theta  I_rel
22.70  37.2
35.03  100.0
35.15  12.9
37.80  20.3
42.05  30.0
48.32  11.0
57.81  23.1
66.47  15.1
72.32  25.3
74.03  11.0

Structure:
```
data_Zr2ScHg
_symmetry_space_group_name_H-M 'I 4/m m m'
_symmetry_Int_Tables_number 139
_symmetry_space_group_name_Hall '-I 4 2'
_cell_length_a 4.2972
_cell_length_b 4.2972
_cell_length_c 9.5205
_cell_angle_alpha 90.00
_cell_angle_beta 90.00
_cell_angle_gamma 90.00
loop_
_atom_site_label
_atom_site_fract_x
_atom_site_fract_y
_atom_site_fract_z
Zr1 0.0000 0.5000 0.2500
Sc1 0.0000 0.0000 0.0000
Hg1 0.0000 0.0000 0.5000
```

***

5.
The following is a simulated X-ray powder pattern of SrCaTe4. It was derived from a cell relaxed with GGA-PBE, using Cu Kα, 1.54184 Å.

The 10 most intense peaks (2θ from 10° to 90°), sorted by position:
two_theta  I_rel
21.38  28.0
28.10  45.1
30.68  100.0
33.59  16.6
41.02  26.4
43.54  12.1
43.74  35.9
57.42  18.6
60.70  13.9
61.36  14.8

Structure:
```
data_SrCaTe4
_symmetry_space_group_name_H-M 'P 4/n b m'
_symmetry_Int_Tables_number 125
_cell_length_a 6.9586
_cell_length_b 6.9586
_cell_length_c 8.3138
_cell_angle_alpha 90.00
_cell_angle_beta 90.00
_cell_angle_gamma 90.00
loop_
_symmetry_equiv_pos_as_xyz
'x,y,z'
'-x,-y,-z'
'-y+1/2,x,z'
'y+1/2,-x,-z'
'-x+1/2,-y+1/2,z'
'x+1/2,y+1/2,-z'
'y,-x+1/2,z'
'-y,x+1/2,-z'
'x,-y+1/2,-z'
'-x,y+1/2,z'
'-y+1/2,-x+1/2,-z'
'y+1/2,x+1/2,z'
'-x+1/2,y,-z'
'x+1/2,-y,z'
'y,x,-z'
'-y,-x,z'
loop_
_atom_site_label
_atom_site_fract_x
_atom_site_fract_y
_atom_site_fract_z
Sr1 0.2500 0.2500 0.0000
Ca1 0.2500 0.2500 0.5000
Te1 0.1063 0.6063 0.2617
```

***

6.
The following is a simulated X-ray powder pattern of DyThTeRh. It was derived from a cell relaxed with GGA-PBE, using Cu Kα, 1.54184 Å.

The 10 most intense peaks (2θ from 10° to 90°), sorted by position:
two_theta  I_rel
11.73  13.1
25.10  14.3
26.02  31.1
29.45  30.7
31.80  100.0
37.42  25.7
43.64  51.8
47.49  19.1
55.00  21.4
72.70  18.7

Structure:
```
data_DyThTeRh
_symmetry_space_group_name_H-M 'R 3 m'
_symmetry_Int_Tables_number 160
_symmetry_space_group_name_Hall 'R 3 -2"'
_cell_length_a 4.1485
_cell_length_b 4.1485
_cell_length_c 22.6281
_cell_angle_alpha 90.00
_cell_angle_beta 90.00
_cell_angle_gamma 120.00
loop_
_atom_site_label
_atom_site_fract_x
_atom_site_fract_y
_atom_site_fract_z
Dy1 0.0000 0.0000 0.0000
Th1 0.0000 0.0000 0.8020
Te1 0.0000 0.0000 0.2377
Rh1 0.0000 0.0000 0.4032
```

***

7.
The following is a simulated X-ray powder pattern of NdSm2Tl4. It was derived from a cell relaxed with GGA-PBE, using Cu Kα, 1.54184 Å.

The 10 most intense peaks (2θ from 10° to 90°), sorted by position:
two_theta  I_rel
16.89  11.1
25.26  17.1
30.95  100.0
36.59  71.2
42.96  11.6
48.66  28.9
51.14  18.1
62.39  27.6
65.87  13.0
86.02  11.7

Structure:
```
data_NdSm2Tl4
_symmetry_space_group_name_H-M 'R -3 m'
_symmetry_Int_Tables_number 166
_symmetry_space_group_name_Hall '-R 3 2"'
_cell_length_a 4.9121
_cell_length_b 4.9121
_cell_length_c 31.4912
_cell_angle_alpha 90.00
_cell_angle_beta 90.00
_cell_angle_gamma 120.00
loop_
_atom_site_label
_atom_site_fract_x
_atom_site_fract_y
_atom_site_fract_z
Nd1 0.0000 0.0000 0.0000
Sm1 0.0000 0.0000 0.1293
Tl1 0.0000 0.0000 0.2447
Tl2 0.0000 0.0000 0.3841
```

***

8.
The following is a simulated X-ray powder pattern of Cs3In3Pb8. It was derived from a cell relaxed with GGA-PBE, using Cu Kα, 1.54184 Å.

The 10 most intense peaks (2θ from 10° to 90°), sorted by position:
two_theta  I_rel
13.04  36.8
26.36  100.0
27.10  61.8
28.24  50.0
30.37  42.9
32.26  41.6
35.32  57.5
35.65  35.8
35.79  53.8
44.95  33.0

Structure:
```
data_Cs3In3Pb8
_symmetry_space_group_name_H-M 'C 1 2/m 1'
_symmetry_Int_Tables_number 12
_symmetry_space_group_name_Hall '-C 2y'
_cell_length_a 15.8636
_cell_length_b 13.5819
_cell_length_c 5.0823
_cell_angle_alpha 90.00
_cell_angle_beta 108.44
_cell_angle_gamma 90.00
loop_
_atom_site_label
_atom_site_fract_x
_atom_site_fract_y
_atom_site_fract_z
Cs1 0.0000 0.0000 0.0000
Cs2 0.2273 0.5000 0.7267
In1 0.0000 0.3554 0.5000
In2 0.0000 0.5000 0.0000
Pb1 0.1196 0.1641 0.6179
Pb2 0.1584 0.2989 0.1570
```

***

9.
The following is a simulated X-ray powder pattern of CdGaPt3. It was derived from a cell relaxed with GGA-PBE, using Cu Kα, 1.54184 Å.

The 10 most intense peaks (2θ from 10° to 90°), sorted by position:
two_theta  I_rel
26.21  40.1
36.25  28.4
38.14  100.0
38.23  43.4
40.02  36.5
43.08  21.0
45.29  35.4
46.94  29.7
53.93  22.0
74.46  35.1

Structure:
```
data_CdGaPt3
_symmetry_space_group_name_H-M 'P m m a'
_symmetry_Int_Tables_number 51
_symmetry_space_group_name_Hall '-P 2a 2a'
_cell_length_a 7.5674
_cell_length_b 3.4004
_cell_length_c 6.5574
_cell_angle_alpha 90.00
_cell_angle_beta 90.00
_cell_angle_gamma 90.00
loop_
_atom_site_label
_atom_site_fract_x
_atom_site_fract_y
_atom_site_fract_z
Cd1 0.2500 0.0000 0.0738
Ga1 0.0000 0.0000 0.5000
Pt1 0.0606 0.5000 0.8000
Pt2 0.2500 0.5000 0.4330
```

***

10.
The following is a simulated X-ray powder pattern of BaLaAu4. It was derived from a cell relaxed with GGA-PBE, using Cu Kα, 1.54184 Å.

The 10 most intense peaks (2θ from 10° to 90°), sorted by position:
two_theta  I_rel
21.26  44.7
31.08  100.0
32.45  65.5
40.90  49.9
42.07  48.6
42.34  21.7
54.11  31.1
60.12  32.4
61.01  16.3
70.05  19.8

Structure:
```
data_BaLaAu4
_symmetry_space_group_name_H-M 'I -4 m 2'
_symmetry_Int_Tables_number 119
_symmetry_space_group_name_Hall 'I -4 -2'
_cell_length_a 4.2956
_cell_length_b 4.2956
_cell_length_c 18.0016
_cell_angle_alpha 90.00
_cell_angle_beta 90.00
_cell_angle_gamma 90.00
loop_
_atom_site_label
_atom_site_fract_x
_atom_site_fract_y
_atom_site_fract_z
Ba1 0.0000 0.0000 0.0000
La1 0.0000 0.5000 0.2500
Au1 0.0000 0.0000 0.4213
Au2 0.0000 0.5000 0.6742
```

***

11.
The following is a simulated X-ray powder pattern of Mg7Cd3Sn. It was derived from a cell relaxed with GGA-PBE, using Cu Kα, 1.54184 Å.

The 10 most intense peaks (2θ from 10° to 90°), sorted by position:
two_theta  I_rel
19.57  54.8
25.31  100.0
32.68  41.3
33.70  31.3
37.91  43.5
38.02  43.0
39.27  15.9
39.75  12.0
47.65  22.8
54.03  12.3

Structure:
```
data_Mg7Cd3Sn
_symmetry_space_group_name_H-M 'C 1 2/m 1'
_symmetry_Int_Tables_number 12
_symmetry_space_group_name_Hall '-C 2y'
_cell_length_a 10.5792
_cell_length_b 10.6381
_cell_length_c 5.4808
_cell_angle_alpha 90.00
_cell_angle_beta 120.97
_cell_angle_gamma 90.00
loop_
_atom_site_label
_atom_site_fract_x
_atom_site_fract_y
_atom_site_fract_z
Mg1 0.0000 0.0000 0.0000
Mg2 0.1757 0.2755 0.6770
Mg3 0.1828 0.5000 0.1772
Cd1 0.0000 0.2749 0.0000
Cd2 0.0000 0.5000 0.5000
Sn1 0.0000 0.0000 0.5000
```

***

12.
The following is a simulated X-ray powder pattern of CeMgAgPt. It was derived from a cell relaxed with GGA-PBE, using Cu Kα, 1.54184 Å.

The 10 most intense peaks (2θ from 10° to 90°), sorted by position:
two_theta  I_rel
22.12  20.4
25.59  10.9
36.51  100.0
43.10  11.1
52.59  17.4
57.73  4.9
59.38  4.2
65.72  35.3
77.59  11.0
88.93  16.1

Structure:
```
data_CeMgAgPt
_symmetry_space_group_name_H-M 'F -4 3 m'
_symmetry_Int_Tables_number 216
_symmetry_space_group_name_Hall 'F -4 2 3'
_cell_length_a 6.9608
_cell_length_b 6.9608
_cell_length_c 6.9608
_cell_angle_alpha 90.00
_cell_angle_beta 90.00
_cell_angle_gamma 90.00
loop_
_atom_site_label
_atom_site_fract_x
_atom_site_fract_y
_atom_site_fract_z
Ce1 0.0000 0.0000 0.0000
Mg1 0.0000 0.0000 0.5000
Ag1 0.2500 0.2500 0.7500
Pt1 0.2500 0.2500 0.2500
```